Entry 1:
The following is a theoretical X-ray powder pattern of CeSe2. It was derived from DFT lattice parameters and positions (GGA-PBE), using Cu Ka.
Peak positions follow from Bragg's law for the DFT cell and can differ from measured ones.

Main lines, by intensity (5° ≤ 2θ ≤ 70°):
| two_theta | d_spacing | I (rel.) |
| --- | --- | --- |
| 7.5 | 11.767 | 100 |
| 14.0 | 6.315 | 66 |
| 8.8 | 10.061 | 55 |
| 7.0 | 12.630 | 50 |
| 15.5 | 5.727 | 47 |
| 14.8 | 5.983 | 45 |
| 16.1 | 5.492 | 43 |
| 13.5 | 6.556 | 38 |
| 10.3 | 8.626 | 25 |
| 18.3 | 4.858 | 23 |

Atomic structure:
```
CeSe2
1.0
-6.556 6.556 23.534
6.556 -6.556 23.534
6.556 6.556 -23.534
Ce Se
16 32
direct
0.066 0.316 0.132
0.066 0.934 0.750
0.100 0.557 0.543
0.316 0.066 0.632
0.316 0.684 0.250
0.443 0.486 0.543
0.443 0.900 0.957
0.486 0.443 0.043
0.514 0.557 0.957
0.557 0.100 0.043
0.557 0.514 0.457
0.684 0.316 0.750
0.684 0.934 0.368
0.900 0.443 0.457
0.934 0.066 0.250
0.934 0.684 0.868
0.000 0.500 0.500
0.063 0.404 0.304
0.063 0.759 0.658
0.077 0.104 0.972
0.104 0.077 0.472
0.104 0.632 0.028
0.241 0.399 0.304
0.241 0.937 0.842
0.310 0.560 0.750
0.368 0.896 0.472
0.399 0.241 0.804
0.399 0.596 0.158
0.404 0.063 0.804
0.404 0.601 0.342
0.440 0.690 0.750
0.500 0.000 0.000
0.500 0.500 0.000
0.500 0.500 0.500
0.560 0.310 0.250
0.596 0.399 0.658
0.596 0.937 0.196
0.601 0.404 0.842
0.601 0.759 0.196
0.632 0.104 0.528
0.690 0.440 0.250
0.759 0.063 0.158
0.759 0.601 0.696
0.896 0.368 0.972
0.896 0.923 0.528
0.923 0.896 0.028
0.937 0.241 0.342
0.937 0.596 0.696
```


Entry 2:
The following is a theoretical X-ray powder pattern of Na2PdO6. It was derived from DFT lattice parameters and positions (GGA-PBE), using Cu Ka.
Peak positions follow from Bragg's law for the DFT cell and can differ from measured ones.

Main lines, by intensity (5° ≤ 2θ ≤ 70°):
| two_theta | d_spacing | I (rel.) |
| --- | --- | --- |
| 16.8 | 5.272 | 100 |
| 36.0 | 2.496 | 72 |
| 17.3 | 5.120 | 46 |
| 29.0 | 3.075 | 36 |
| 24.5 | 3.640 | 28 |
| 30.1 | 2.967 | 22 |
| 25.9 | 3.445 | 21 |
| 51.5 | 1.774 | 17 |
| 29.9 | 2.985 | 15 |
| 44.0 | 2.060 | 15 |

Atomic structure:
```
Na2PdO6
1.0
3.228 -5.120 0.000
3.228 5.120 0.000
-1.163 0.000 3.640
Na Pd O
2 1 6
direct
0.150 0.850 0.000
0.850 0.150 0.000
0.500 0.500 0.000
0.199 0.199 0.743
0.282 0.587 0.321
0.413 0.718 0.679
0.587 0.282 0.321
0.718 0.413 0.679
0.801 0.801 0.257
```


- What is the formula in the second record?
  Na2PdO6